Entry 1:
Theoretical powder XRD pattern
Compound: K2ZrSi2O7
Radiation: copper Kα
Structure: the GGA-PBE geometry in the Materials Project
Neutral-atom scattering factors, no anomalous dispersion.

Crystal structure
a = 9.708 Å, b = 5.645 Å, c = 14.356 Å
α = 90.00°, β = 116.87°, γ = 90.00°
Element x y z (fractional)
1 K 0.017 0.243 0.402
2 K 0.017 0.257 0.902
3 K 0.463 0.246 0.571
4 K 0.463 0.254 0.071
5 K 0.537 0.746 0.929
6 K 0.537 0.754 0.429
7 K 0.983 0.743 0.098
8 K 0.983 0.757 0.598
9 Zr 0.265 0.243 0.770
10 Zr 0.265 0.257 0.270
11 Zr 0.735 0.743 0.730
12 Zr 0.735 0.757 0.230
13 Si 0.164 0.748 0.386
14 Si 0.164 0.752 0.886
15 Si 0.325 0.736 0.629
16 Si 0.325 0.764 0.129
17 Si 0.675 0.236 0.871
18 Si 0.675 0.264 0.371
19 Si 0.836 0.248 0.114
20 Si 0.836 0.252 0.614
21 O 0.023 0.246 0.685
22 O 0.023 0.254 0.185
23 O 0.186 0.718 0.008
24 O 0.186 0.782 0.508
25 O 0.243 0.004 0.880
26 O 0.243 0.496 0.380
27 O 0.248 0.525 0.862
28 O 0.248 0.975 0.362
29 O 0.291 0.024 0.165
30 O 0.291 0.476 0.665
31 O 0.298 0.552 0.196
32 O 0.298 0.948 0.696
33 O 0.492 0.749 0.128
34 O 0.492 0.751 0.628
35 O 0.508 0.249 0.372
36 O 0.508 0.251 0.872
37 O 0.702 0.052 0.304
38 O 0.702 0.448 0.804
39 O 0.709 0.524 0.335
40 O 0.709 0.976 0.835
41 O 0.752 0.025 0.638
42 O 0.752 0.475 0.138
43 O 0.757 0.504 0.620
44 O 0.757 0.996 0.120
45 O 0.814 0.218 0.492
46 O 0.814 0.282 0.992
47 O 0.977 0.746 0.815
48 O 0.977 0.754 0.315

The 12 most intense peaks (2θ from 5° to 70°), by angle:
two_theta, I (rel.)
13.83, 24
20.41, 35
20.51, 17
26.05, 41
29.61, 100
31.70, 34
31.88, 57
41.50, 27
41.72, 12
53.96, 14
56.58, 11
66.62, 12

---

Entry 2:
Theoretical powder XRD pattern
Compound: Ca3Sn3As4O16
Radiation: copper Kα
Structure: the GGA-PBE geometry in the Materials Project
Neutral-atom scattering factors, no anomalous dispersion.

Crystal structure
a = 9.818 Å, b = 5.540 Å, c = 18.088 Å
α = 90.00°, β = 119.44°, γ = 90.00°
Element x y z (fractional)
1 Ca 0.000 0.000 0.000
2 Ca 0.000 0.500 0.500
3 Ca 0.185 0.067 0.256
4 Ca 0.185 0.433 0.756
5 Ca 0.815 0.567 0.244
6 Ca 0.815 0.933 0.744
7 Sn 0.448 0.519 0.635
8 Sn 0.448 0.981 0.135
9 Sn 0.500 0.000 0.500
10 Sn 0.500 0.500 0.000
11 Sn 0.552 0.019 0.865
12 Sn 0.552 0.481 0.365
13 As 0.226 0.528 0.388
14 As 0.226 0.972 0.888
15 As 0.254 0.530 0.143
16 As 0.254 0.970 0.643
17 As 0.746 0.030 0.357
18 As 0.746 0.470 0.857
19 As 0.774 0.028 0.112
20 As 0.774 0.472 0.612
21 O 0.067 0.087 0.800
22 O 0.067 0.413 0.300
23 O 0.113 0.155 0.574
24 O 0.113 0.345 0.074
25 O 0.194 0.676 0.646
26 O 0.194 0.824 0.146
27 O 0.214 0.534 0.478
28 O 0.214 0.966 0.978
29 O 0.284 0.692 0.871
30 O 0.284 0.808 0.371
31 O 0.329 0.111 0.741
32 O 0.329 0.389 0.241
33 O 0.380 0.169 0.905
34 O 0.380 0.331 0.405
35 O 0.412 0.585 0.125
36 O 0.412 0.915 0.625
37 O 0.588 0.085 0.375
38 O 0.588 0.415 0.875
39 O 0.620 0.669 0.595
40 O 0.620 0.831 0.095
41 O 0.671 0.611 0.759
42 O 0.671 0.889 0.259
43 O 0.716 0.192 0.629
44 O 0.716 0.308 0.129
45 O 0.786 0.034 0.022
46 O 0.786 0.466 0.522
47 O 0.806 0.176 0.854
48 O 0.806 0.324 0.354
49 O 0.887 0.655 0.926
50 O 0.887 0.845 0.426
51 O 0.933 0.587 0.700
52 O 0.933 0.913 0.200

The 12 most intense peaks (2θ from 5° to 70°), by angle:
two_theta, I (rel.)
10.35, 86
21.32, 19
21.92, 26
22.58, 28
25.15, 100
28.23, 21
28.85, 75
29.70, 44
31.80, 74
32.32, 55
46.10, 21
55.57, 29

---

Copy entry 1 word for word.
Theoretical powder XRD pattern
Compound: K2ZrSi2O7
Radiation: copper Kα
Structure: the GGA-PBE geometry in the Materials Project
Neutral-atom scattering factors, no anomalous dispersion.

Crystal structure
a = 9.708 Å, b = 5.645 Å, c = 14.356 Å
α = 90.00°, β = 116.87°, γ = 90.00°
Element x y z (fractional)
1 K 0.017 0.243 0.402
2 K 0.017 0.257 0.902
3 K 0.463 0.246 0.571
4 K 0.463 0.254 0.071
5 K 0.537 0.746 0.929
6 K 0.537 0.754 0.429
7 K 0.983 0.743 0.098
8 K 0.983 0.757 0.598
9 Zr 0.265 0.243 0.770
10 Zr 0.265 0.257 0.270
11 Zr 0.735 0.743 0.730
12 Zr 0.735 0.757 0.230
13 Si 0.164 0.748 0.386
14 Si 0.164 0.752 0.886
15 Si 0.325 0.736 0.629
16 Si 0.325 0.764 0.129
17 Si 0.675 0.236 0.871
18 Si 0.675 0.264 0.371
19 Si 0.836 0.248 0.114
20 Si 0.836 0.252 0.614
21 O 0.023 0.246 0.685
22 O 0.023 0.254 0.185
23 O 0.186 0.718 0.008
24 O 0.186 0.782 0.508
25 O 0.243 0.004 0.880
26 O 0.243 0.496 0.380
27 O 0.248 0.525 0.862
28 O 0.248 0.975 0.362
29 O 0.291 0.024 0.165
30 O 0.291 0.476 0.665
31 O 0.298 0.552 0.196
32 O 0.298 0.948 0.696
33 O 0.492 0.749 0.128
34 O 0.492 0.751 0.628
35 O 0.508 0.249 0.372
36 O 0.508 0.251 0.872
37 O 0.702 0.052 0.304
38 O 0.702 0.448 0.804
39 O 0.709 0.524 0.335
40 O 0.709 0.976 0.835
41 O 0.752 0.025 0.638
42 O 0.752 0.475 0.138
43 O 0.757 0.504 0.620
44 O 0.757 0.996 0.120
45 O 0.814 0.218 0.492
46 O 0.814 0.282 0.992
47 O 0.977 0.746 0.815
48 O 0.977 0.754 0.315

The 12 most intense peaks (2θ from 5° to 70°), by angle:
two_theta, I (rel.)
13.83, 24
20.41, 35
20.51, 17
26.05, 41
29.61, 100
31.70, 34
31.88, 57
41.50, 27
41.72, 12
53.96, 14
56.58, 11
66.62, 12